Diffraction record for LiGaPO5. The XRD peak list is theoretical, not measured: it uses a PBE-relaxed structure and Cu Ka.
Peak positions follow from Bragg's law for the DFT cell and can differ from measured ones.

Top 10 peaks for 2θ from 10° to 90°, in order of rising 2θ:
| h k l | two_theta | I (rel.) |
| --- | --- | --- |
| 0 1 0 | 17.96 | 43 |
| 1 0 0 | 18.12 | 88 |
| 1 -1 0 | 22.11 | 44 |
| 0 1 -2 | 27.07 | 100 |
| 1 0 -2 | 27.54 | 78 |
| 1 1 0 | 28.73 | 96 |
| 1 -2 0 | 36.38 | 42 |
| 2 -2 0 | 45.09 | 26 |
| 2 1 0 | 45.30 | 29 |
| 0 3 0 | 55.85 | 34 |

Atomic structure:
abc: 5.2375 5.3291 7.1974
angles: 106.70 105.02 99.12
Space group P-1 (No. 2)
Unique sites:
Li (0.2333, 0.3829, 0.2340)
Ga (0.5000, 0.0000, 0.0000)
Ga (0.5000, 0.0000, 0.5000)
P (0.1803, 0.3628, 0.7632)
O (0.1262, 0.7547, 0.3691)
O (0.1910, 0.6709, 0.8542)
O (0.2513, 0.2423, 0.9353)
O (0.3715, 0.3257, 0.6316)
O (0.4174, 0.0884, 0.2552)